# TaAgWO7
Computed powder diffractogram, Cu Kα (λ = 1.5418 Å). Input: the PBE+U geometry in the Materials Project.
Lines closer than 0.1° are merged.

Structural model:
```
TaAgWO7
1.0
-3.642 3.755 5.266
3.642 -3.755 5.266
3.642 3.755 -5.266
Ta Ag W O
2 2 2 14
direct
0.000 0.000 0.000 Ta
0.500 0.000 0.500 Ta
0.500 0.000 0.000 Ag
0.500 0.500 0.500 Ag
0.000 0.000 0.500 W
0.000 0.500 0.000 W
0.058 0.308 0.750 O
0.061 0.315 0.121 O
0.061 0.940 0.746 O
0.306 0.060 0.621 O
0.306 0.685 0.246 O
0.317 0.067 0.250 O
0.421 0.671 0.750 O
0.579 0.329 0.250 O
0.683 0.933 0.750 O
0.694 0.315 0.754 O
0.694 0.940 0.379 O
0.939 0.060 0.254 O
0.939 0.685 0.879 O
0.942 0.692 0.250 O
```

Principal peaks in the range 2θ = 10–90°, low angle first:
2θ/deg	I/Imax
14.79	86
28.05	37
28.22	18
29.21	100
29.83	87
34.05	23
34.30	43
49.11	53
57.98	42
59.04	27

---

# TeWO6
Computed powder diffractogram, Cu Kα (λ = 1.5418 Å). Input: the PBE+U geometry in the Materials Project.
Lines closer than 0.1° are merged.

Structural model:
```
TeWO6
1.0
5.179 0.000 0.000
0.000 5.336 0.000
-5.177 0.000 7.443
Te W O
2 2 12
direct
0.000 0.000 0.000 Te
0.000 0.500 0.500 Te
0.500 0.000 0.500 W
0.500 0.500 0.000 W
0.149 0.203 0.451 O
0.149 0.297 0.951 O
0.250 0.703 0.450 O
0.250 0.797 0.950 O
0.348 0.017 0.249 O
0.348 0.483 0.749 O
0.652 0.517 0.251 O
0.652 0.983 0.751 O
0.750 0.203 0.050 O
0.750 0.297 0.550 O
0.851 0.703 0.049 O
0.851 0.797 0.549 O
```

Principal peaks in the range 2θ = 10–90°, low angle first:
2θ/deg	I/Imax
23.93	100
33.59	10
34.09	37
34.64	8
42.53	9
49.00	17
54.55	8
55.23	27
60.38	8
61.73	9

---

# Li2TiCr3O8
Computed powder diffractogram, Cu Kα (λ = 1.5418 Å). Input: the PBE+U geometry in the Materials Project.
Lines closer than 0.1° are merged.

Structural model:
```
Li2TiCr3O8
1.0
5.872 0.000 0.000
-0.003 5.948 0.000
-0.012 -0.344 8.655
Li Ti Cr O
4 2 6 16
direct
0.000 0.000 0.000 Li
0.000 0.500 0.500 Li
0.500 0.000 0.000 Li
0.500 0.500 0.500 Li
0.250 0.245 0.750 Ti
0.750 0.755 0.250 Ti
0.000 0.000 0.500 Cr
0.000 0.500 0.000 Cr
0.250 0.748 0.250 Cr
0.500 0.000 0.500 Cr
0.500 0.500 0.000 Cr
0.750 0.252 0.750 Cr
0.004 0.534 0.237 O
0.004 0.968 0.263 O
0.250 0.234 0.523 O
0.250 0.264 0.977 O
0.250 0.734 0.021 O
0.250 0.766 0.479 O
0.493 0.535 0.236 O
0.494 0.968 0.263 O
0.506 0.032 0.737 O
0.507 0.465 0.764 O
0.750 0.234 0.521 O
0.750 0.266 0.979 O
0.750 0.736 0.023 O
0.750 0.766 0.477 O
0.996 0.032 0.737 O
0.996 0.466 0.763 O
```

Principal peaks in the range 2θ = 10–90°, low angle first:
2θ/deg	I/Imax
17.77	100
35.11	9
35.83	21
41.75	20
43.32	37
46.28	5
54.63	6
56.71	9
60.77	10
62.68	10

---

# VF5
Computed powder diffractogram, Cu Kα (λ = 1.5418 Å). Input: the PBE+U geometry in the Materials Project.
Lines closer than 0.1° are merged.

Structural model:
```
VF5
1.0
5.066 0.000 0.000
0.000 5.768 0.000
0.000 0.000 12.944
V F
4 20
direct
0.180 0.110 0.406 V
0.320 0.890 0.906 V
0.680 0.390 0.594 V
0.820 0.610 0.094 V
0.032 0.837 0.010 F
0.074 0.902 0.497 F
0.094 0.591 0.175 F
0.128 0.085 0.837 F
0.186 0.639 0.848 F
0.314 0.361 0.348 F
0.372 0.915 0.337 F
0.406 0.409 0.675 F
0.426 0.098 0.997 F
0.468 0.163 0.510 F
0.532 0.663 0.990 F
0.574 0.598 0.503 F
0.594 0.909 0.825 F
0.628 0.415 0.163 F
0.686 0.861 0.152 F
0.814 0.139 0.652 F
0.872 0.585 0.663 F
0.906 0.091 0.325 F
0.926 0.402 0.003 F
0.968 0.337 0.490 F
```

Principal peaks in the range 2θ = 10–90°, low angle first:
2θ/deg	I/Imax
13.68	39
16.83	83
20.63	82
22.28	100
23.37	28
24.37	28
27.17	42
31.34	21
38.52	20
45.78	30

---

# Li3Fe4B4O12
Computed powder diffractogram, Cu Kα (λ = 1.5418 Å). Input: the PBE+U geometry in the Materials Project.
Lines closer than 0.1° are merged.

Structural model:
```
Li3Fe4B4O12
1.0
5.267 0.000 0.000
0.000 9.006 0.000
-0.326 0.000 10.267
Li Fe B O
6 8 8 24
direct
0.000 0.004 0.000 Li
0.000 0.996 0.500 Li
0.194 0.488 0.258 Li
0.194 0.512 0.758 Li
0.514 0.495 0.504 Li
0.514 0.505 0.004 Li
0.013 0.337 0.534 Fe
0.013 0.663 0.034 Fe
0.186 0.152 0.289 Fe
0.186 0.848 0.789 Fe
0.514 0.168 0.048 Fe
0.514 0.832 0.548 Fe
0.698 0.321 0.782 Fe
0.698 0.679 0.282 Fe
0.020 0.329 0.048 B
0.020 0.671 0.548 B
0.183 0.178 0.802 B
0.183 0.822 0.302 B
0.507 0.162 0.539 B
0.507 0.838 0.039 B
0.682 0.340 0.290 B
0.682 0.660 0.790 B
0.049 0.049 0.806 O
0.049 0.951 0.306 O
0.072 0.308 0.750 O
0.072 0.692 0.250 O
0.138 0.192 0.074 O
0.138 0.808 0.574 O
0.160 0.458 0.056 O
0.160 0.542 0.556 O
0.252 0.161 0.502 O
0.252 0.839 0.002 O
0.430 0.189 0.856 O
0.430 0.811 0.356 O
0.546 0.468 0.310 O
0.546 0.532 0.810 O
0.554 0.215 0.240 O
0.554 0.785 0.740 O
0.627 0.297 0.571 O
0.627 0.703 0.071 O
0.644 0.031 0.544 O
0.644 0.969 0.044 O
0.762 0.331 0.015 O
0.762 0.669 0.515 O
0.943 0.334 0.321 O
0.943 0.666 0.821 O
```

Principal peaks in the range 2θ = 10–90°, low angle first:
2θ/deg	I/Imax
19.53	24
19.72	48
21.58	100
25.82	42
26.55	32
34.06	22
34.39	52
34.96	77
40.43	42
48.73	24

---

# Li6V3W3O16
Computed powder diffractogram, Cu Kα (λ = 1.5418 Å). Input: the PBE+U geometry in the Materials Project.
Lines closer than 0.1° are merged.

Structural model:
```
Li6V3W3O16
1.0
5.818 0.000 0.000
-2.902 5.118 0.000
-0.017 -0.151 10.228
Li V W O
6 3 3 16
direct
0.000 0.000 0.000 Li
0.002 0.006 0.395 Li
0.336 0.670 0.404 Li
0.340 0.676 0.903 Li
0.665 0.332 0.511 Li
0.669 0.334 0.887 Li
0.156 0.835 0.688 V
0.503 0.006 0.187 V
0.680 0.830 0.687 V
0.157 0.316 0.684 W
0.517 0.486 0.185 W
0.969 0.487 0.186 W
0.005 0.011 0.805 O
0.020 0.507 0.788 O
0.171 0.815 0.285 O
0.178 0.354 0.292 O
0.306 0.152 0.575 O
0.325 0.648 0.585 O
0.329 0.658 0.084 O
0.353 0.179 0.076 O
0.484 0.967 0.780 O
0.487 0.505 0.788 O
0.645 0.815 0.285 O
0.661 0.321 0.316 O
0.823 0.645 0.060 O
0.826 0.179 0.076 O
0.844 0.690 0.579 O
0.846 0.153 0.576 O
```

Principal peaks in the range 2θ = 10–90°, low angle first:
2θ/deg	I/Imax
17.34	100
19.28	10
19.52	25
19.64	16
31.99	10
36.54	13
36.67	12
39.63	13
44.45	11
44.78	10

---

# YMnFeO5
Computed powder diffractogram, Cu Kα (λ = 1.5418 Å). Input: the PBE+U geometry in the Materials Project.
Lines closer than 0.1° are merged.

Structural model:
```
YMnFeO5
1.0
7.347 0.000 0.000
0.000 8.639 0.000
0.000 0.000 5.808
Y Mn Fe O
4 4 4 20
direct
0.133 0.169 0.000 Y
0.367 0.669 0.000 Y
0.633 0.331 0.000 Y
0.867 0.831 0.000 Y
0.000 0.500 0.249 Mn
0.000 0.500 0.751 Mn
0.500 0.000 0.249 Mn
0.500 0.000 0.751 Mn
0.107 0.853 0.500 Fe
0.393 0.353 0.500 Fe
0.607 0.647 0.500 Fe
0.893 0.147 0.500 Fe
0.000 0.000 0.267 O
0.000 0.000 0.733 O
0.107 0.704 0.241 O
0.107 0.704 0.759 O
0.151 0.429 0.500 O
0.161 0.442 0.000 O
0.339 0.942 0.000 O
0.349 0.929 0.500 O
0.393 0.204 0.241 O
0.393 0.204 0.759 O
0.500 0.500 0.267 O
0.500 0.500 0.733 O
0.607 0.796 0.241 O
0.607 0.796 0.759 O
0.651 0.071 0.500 O
0.661 0.058 0.000 O
0.839 0.558 0.000 O
0.849 0.571 0.500 O
0.893 0.296 0.241 O
0.893 0.296 0.759 O
```

Principal peaks in the range 2θ = 10–90°, low angle first:
2θ/deg	I/Imax
24.23	17
28.47	73
30.60	100
33.42	45
34.81	37
45.34	22
52.83	20
54.63	21
58.85	30
59.55	20